The following is a computed powder diffractogram of CaPr6Sm2Y. It was derived from a PBE-relaxed structure, using CuKα.

Main lines, most intense first (2θ from 10° to 80°):
2θ (°)  intensity
29.77  1000
30.74  905
29.98  669
32.25  668
27.62  622
29.35  557
30.92  508
30.38  407
14.38  243
51.29  209
36.57  207
32.92  202

Atomic structure:
```
data_CaPr6Sm2Y
_chemical_formula_sum 'Ca2 Pr12 Sm4 Y2'
_symmetry_space_group_name_H-M 'P 1'
_symmetry_Int_Tables_number 1
_cell_length_a 9.1376
_cell_length_b 9.1376
_cell_length_c 10.0190
_cell_angle_alpha 94.51
_cell_angle_beta 94.51
_cell_angle_gamma 118.96
loop_
_symmetry_equiv_pos_as_xyz
'x,y,z'
loop_
_atom_site_label
_atom_site_fract_x
_atom_site_fract_y
_atom_site_fract_z
_atom_site_occupancy
Ca1 0.0976 0.9024 0.7500 1
Ca2 0.9024 0.0976 0.2500 1
Pr1 0.0039 0.2157 0.6231 1
Pr2 0.0733 0.5281 0.1782 1
Pr3 0.2157 0.0039 0.1231 1
Pr4 0.2656 0.6193 0.5521 1
Pr5 0.3807 0.7344 0.9479 1
Pr6 0.4719 0.9267 0.3218 1
Pr7 0.5281 0.0733 0.6782 1
Pr8 0.6193 0.2656 0.0521 1
Pr9 0.7344 0.3807 0.4479 1
Pr10 0.7843 0.9961 0.8769 1
Pr11 0.9267 0.4719 0.8218 1
Pr12 0.9961 0.7843 0.3769 1
Sm1 0.1998 0.2998 0.9577 1
Sm2 0.2998 0.1998 0.4577 1
Sm3 0.7002 0.8002 0.5423 1
Sm4 0.8002 0.7002 0.0423 1
Y1 0.4759 0.5241 0.2500 1
Y2 0.5241 0.4759 0.7500 1
```